Calculated X-ray diffraction stick pattern
Compound: Zn3CrF9
Radiation: copper Kα
Structure: a structure optimized by DFT (GGA+U)

Top 10 peaks for 2θ from 10° to 90°, by intensity:
(1 0 -2), 25.59°, rel. 100.0
(0 2 0), 23.58°, rel. 68.4
(1 2 1), 32.05°, rel. 56.2
(0 0 3), 31.14°, rel. 53.9
(1 2 0), 29.55°, rel. 44.9
(0 0 1), 10.27°, rel. 41.0
(1 2 -1), 30.67°, rel. 39.1
(1 0 5), 58.54°, rel. 38.7
(2 0 -3), 45.00°, rel. 34.5
(1 0 1), 21.39°, rel. 33.7

```
26
Lattice="5.0835 0.0000 0.0000 0.0000 7.5457 0.0000 -0.9937 0.0000 8.6175" Properties=species:S:1:pos:R:3 pbc="T T T"
Zn 0.0000 0.0000 0.0000
Zn 0.0000 3.7728 0.0000
Zn 1.7288 0.1380 5.9004
Zn 1.7288 3.6348 5.9004
Zn 2.3610 3.9109 2.7171
Zn 2.3610 7.4076 2.7171
Cr -0.3603 1.8864 3.5528
Cr 4.4501 5.6592 5.0647
F -0.4072 1.8864 8.4522
F -0.1104 4.4066 6.4316
F -0.1104 6.9119 6.4316
F 0.6403 1.8864 5.3018
F 0.8242 4.3402 4.1028
F 0.8242 6.9783 4.1028
F 1.4222 1.8864 2.8087
F 1.6240 4.2525 1.0418
F 1.6240 7.0660 1.0418
F 2.4659 0.4797 7.5757
F 2.4659 3.2931 7.5757
F 2.6676 5.6592 5.8088
F 3.2657 0.5674 4.5147
F 3.2657 3.2054 4.5147
F 3.4495 5.6592 3.3157
F 4.2002 0.6337 2.1859
F 4.2002 3.1391 2.1859
F 4.4970 5.6592 0.1652
```